This entry pairs a crystal structure of Cs2CoHgF6 with its theoretical X-ray diffraction stick pattern. Radiation: CuKα. Structure: a cell relaxed with PBE+U.
Neutral-atom scattering factors, no anomalous dispersion.

Peak list (6 most intense, 10 to 90 degrees two-theta, by intensity)
2θ = 30.33°, I 100; 2θ = 53.89°, I 39; 2θ = 43.43°, I 31; 2θ = 87.61°, I 22; 2θ = 63.10°, I 19; 2θ = 71.61°, I 18

Structural model:
a = 5.8932 Å, b = 5.8932 Å, c = 5.8932 Å
α = 60.00°, β = 60.00°, γ = 60.00°
Fractional positions:
Cs (0.2500, 0.2500, 0.2500)
Cs (0.7500, 0.7500, 0.7500)
Co (0.0000, 0.0000, 0.0000)
Hg (0.5000, 0.5000, 0.5000)
F (0.2253, 0.2253, 0.7747)
F (0.2253, 0.7747, 0.2253)
F (0.2253, 0.7747, 0.7747)
F (0.7747, 0.2253, 0.2253)
F (0.7747, 0.2253, 0.7747)
F (0.7747, 0.7747, 0.2253)